Diffraction record for PrZnCo2O6. The PXRD pattern is theoretical, not measured: it uses a cell relaxed with PBE+U and a wavelength of 1.5418 Å.

Crystal structure
abc: 7.713 5.373 5.328
angles: 90.00 90.00 90.00
Space group Pmn2_1 (No. 31)
Asymmetric unit:
Pr (0.000, 0.213, 0.000) [2 per cell]
Zn (0.000, 0.707, 0.477) [2 per cell]
Co (0.250, 0.255, 0.491) [4 per cell]
O (0.000, 0.313, 0.573) [2 per cell]
O (0.000, 0.775, 0.859) [2 per cell]
O (0.190, 0.965, 0.320) [4 per cell]
O (0.193, 0.496, 0.212) [4 per cell]

Top 10 peaks for 10° ≤ 2θ ≤ 90°, most intense first:
Position (°2θ)  I (rel.)  hkl
33.17  100  2 1 1
48.10  24  0 2 2
33.64  22  0 0 2
59.87  22  2 1 3
33.35  20  0 2 0
59.49  14  2 3 1
47.13  14  4 0 0
69.63  12  4 2 2
59.15  11  4 0 2
58.96  11  4 2 0